Entry 1:
Diffraction record for HfZrTa2Sn2. The powder diffractogram is simulated, not measured: it uses DFT lattice parameters and positions (GGA-PBE) and a wavelength of 1.5418 Å.

Most intense lines, 2θ from 10° to 80°, low angle first:
2theta, intensity, index
11.5, 317, 0 0 2
33.3, 908, 1 1 2
35.1, 372, 0 0 6
39.2, 1000, 1 1 4
44.6, 519, 2 0 0
57.9, 355, 2 0 6
74.9, 178, 3 1 2
78.4, 274, 3 1 4

Structural model:
Lattice parameters (Å, degrees): 4.0668 4.0668 15.3423 90.00 90.00 90.00
Space group I4mm (No. 107)
Asymmetric unit:
Hf 0.0000 0.0000 0.0000
Zr 0.0000 0.0000 0.3381
Ta 0.0000 0.5000 0.1672
Sn 0.0000 0.0000 0.5288
Sn 0.0000 0.0000 0.8071

***

Entry 2:
Diffraction record for Cd2TcPt. The powder diffractogram is simulated, not measured: it uses DFT lattice parameters and positions (GGA-PBE) and a wavelength of 1.5418 Å.

Most intense lines, 2θ from 10° to 80°, low angle first:
2theta, intensity, index
23.4, 52, 1 1 1
27.1, 37, 2 0 0
38.8, 1000, 2 2 0
45.8, 29, 3 1 1
56.0, 168, 4 0 0
61.5, 13, 3 3 1
63.3, 16, 4 2 0
70.2, 338, 4 2 2

Structural model:
Lattice parameters (Å, degrees): 6.5708 6.5708 6.5708 90.00 90.00 90.00
Space group F-43m (No. 216)
Asymmetric unit:
Cd 0.0000 0.0000 0.0000
Cd 0.2500 0.2500 0.2500
Tc 0.0000 0.0000 0.5000
Pt 0.2500 0.2500 0.7500

***

Entry 3:
Diffraction record for ErHfSnC. The powder diffractogram is simulated, not measured: it uses DFT lattice parameters and positions (GGA-PBE) and a wavelength of 1.5418 Å.

Most intense lines, 2θ from 10° to 80°, low angle first:
2theta, intensity, index
30.0, 229, 1 0 0
35.0, 1000, 1 0 3
35.6, 196, 0 0 6
47.3, 148, 1 0 6
53.3, 214, 1 1 0
63.6, 163, 1 0 9
65.4, 167, 2 0 3
65.8, 204, 1 1 6

Structural model:
Lattice parameters (Å, degrees): 3.4385 3.4385 15.1114 90.00 90.00 120.00
Space group P-6m2 (No. 187)
Asymmetric unit:
Er 0.0000 0.0000 0.1724
Hf 0.6667 0.3333 0.3415
Sn 0.0000 0.0000 0.5000
Sn 0.6667 0.3333 0.0000
C 0.3333 0.6667 0.2677